Record 1
# Bi2PbAu2
Computed XRD peak list, Cu Kα X-rays. Input: a crystal structure in Alexandria, relaxed with GGA-PBE.
Peak positions follow from Bragg's law for the DFT cell and can differ from measured ones.

Crystal structure
Lattice parameters (Å, degrees): 5.7198 4.4887 10.9305 90.00 99.18 90.00
Space group P2_1/m (No. 11)
Inequivalent atoms, fractional coordinates:
Bi: 0.0980 0.2500 0.3675 [2 per cell]
Bi: 0.2345 0.7500 0.9558 [2 per cell]
Pb: 0.4146 0.2500 0.7276 [2 per cell]
Au: 0.2897 0.2500 0.1319 [2 per cell]
Au: 0.3398 0.7500 0.4998 [2 per cell]

Principal peaks in the range 10 to 90 degrees two-theta, by angle:
index	two_theta	d_spacing	Rel. int.
1 1 2	31.7	2.819	100
0 1 3	31.9	2.807	59
2 0 -2	33.4	2.684	38
2 1 -2	39.1	2.303	40
1 1 -4	40.1	2.250	37
0 2 0	40.2	2.244	48

***

Record 2
# Bi3Pb2Au4
Computed XRD peak list, Cu Kα X-rays. Input: a crystal structure in Alexandria, relaxed with GGA-PBE.
Peak positions follow from Bragg's law for the DFT cell and can differ from measured ones.

Crystal structure
Lattice parameters (Å, degrees): 6.2285 16.2729 4.7751 90.00 90.00 90.00
Space group Pnnm (No. 58)
Inequivalent atoms, fractional coordinates:
Bi: 0.0000 0.0000 0.0000 [2 per cell]
Bi: 0.1912 0.3016 0.5000 [4 per cell]
Pb: 0.1678 0.5910 0.0000 [4 per cell]
Au: 0.1861 0.1843 0.0000 [4 per cell]
Au: 0.1884 0.9044 0.5000 [4 per cell]

Principal peaks in the range 10 to 90 degrees two-theta, by angle:
index	two_theta	d_spacing	Rel. int.
2 0 0	28.7	3.114	19
2 3 0	33.2	2.701	25
0 5 1	33.3	2.689	100
2 2 1	36.2	2.484	48
0 0 2	37.7	2.388	39
2 5 1	44.5	2.035	22

***

Record 3
# Bi3PbAu3
Computed XRD peak list, Cu Kα X-rays. Input: a crystal structure in Alexandria, relaxed with GGA-PBE.
Peak positions follow from Bragg's law for the DFT cell and can differ from measured ones.

Crystal structure
Lattice parameters (Å, degrees): 8.6542 8.6542 17.1174 90.00 90.00 120.00
Space group R-3 (No. 148, hexagonal axes)
Inequivalent atoms, fractional coordinates:
Bi: 0.0079 0.7604 0.2352 [18 per cell]
Pb: 0.0000 0.0000 0.3990 [6 per cell]
Au: 0.0450 0.8161 0.0669 [18 per cell]

Principal peaks in the range 10 to 90 degrees two-theta, by angle:
index	two_theta	d_spacing	Rel. int.
0 0 6	31.4	2.853	38
3 -1 1	32.0	2.795	100
1 2 2	33.3	2.689	24
3 -1 4	38.1	2.362	29
1 2 5	41.4	2.182	52
4 1 0	56.2	1.635	22